1.
Computed powder XRD pattern of PrYAu for Cu Kα, from DFT lattice parameters and positions (PBE).
Peak positions follow from Bragg's law for the DFT cell and can differ from measured ones.

Top 6 peaks for 2θ = 5–70°, low angle first:
Position (°2θ)  I_rel  index
25.78  83  1 1 0
28.51  58  1 1 1
30.30  73  1 0 2
35.55  87  1 1 2
36.78  100  2 0 0
40.99  66  1 0 3

Atomic structure:
Unit cell a=4.887 b=4.887 c=7.398 alpha=90.00 beta=90.00 gamma=90.00
Space group P4/nmm (No. 129, origin choice 2)
One atom of each set of equivalent atoms:
Pr (0.250, 0.250, 0.120)
Y (0.250, 0.750, 0.500)
Au (0.250, 0.250, 0.726)

2.
Computed powder XRD pattern of Sn7Ir2Os for Cu Kα, from DFT lattice parameters and positions (PBE).
Peak positions follow from Bragg's law for the DFT cell and can differ from measured ones.

Top 6 peaks for 2θ = 5–70°, low angle first:
Position (°2θ)  I_rel  index
22.95  54  1 1 3
32.69  62  2 4 0
35.39  46  3 3 1
40.28  100  3 3 3
40.36  87  0 6 0
46.88  24  4 4 0

Atomic structure:
Unit cell a=9.512 b=13.410 c=13.402 alpha=90.00 beta=90.00 gamma=90.00
Space group Fmm2 (No. 42)
One atom of each set of equivalent atoms:
Sn (0.000, 0.124, 0.000)
Sn (0.000, 0.127, 0.250)
Sn (0.161, 0.000, 0.791)
Sn (0.163, 0.164, 0.628)
Sn (0.164, 0.000, 0.463)
Sn (0.250, 0.250, 0.374)
Ir (0.000, 0.171, 0.456)
Ir (0.157, 0.000, 0.127)
Os (0.000, 0.172, 0.799)

3.
Computed powder XRD pattern of CsPmBi for Cu Kα, from DFT lattice parameters and positions (PBE).
Peak positions follow from Bragg's law for the DFT cell and can differ from measured ones.

Top 6 peaks for 2θ = 5–70°, low angle first:
Position (°2θ)  I_rel  index
5.96  100  0 0 2
28.40  40  1 1 0
29.10  33  1 0 7
33.88  18  1 0 9
37.53  15  1 1 8
40.60  16  2 0 0

Atomic structure:
Unit cell a=4.444 b=4.444 c=29.636 alpha=90.00 beta=90.00 gamma=90.00
Space group I4/mmm (No. 139)
One atom of each set of equivalent atoms:
Cs (0.000, 0.000, 0.085)
Pm (0.000, 0.000, 0.211)
Bi (0.000, 0.000, 0.321)

4.
Computed powder XRD pattern of Cs3SbI6 for Cu Kα, from DFT lattice parameters and positions (PBE).
Peak positions follow from Bragg's law for the DFT cell and can differ from measured ones.

Top 6 peaks for 2θ = 5–70°, low angle first:
Position (°2θ)  I_rel  index
22.84  83  2 1 -1
22.99  98  1 0 -4
27.25  100  2 2 -2
27.48  64  0 0 4
30.57  94  1 3 -2
34.54  91  3 1 -5

Atomic structure:
Unit cell a=8.970 b=9.570 c=15.652 alpha=90.00 beta=123.96 gamma=90.00
Space group P2_1/c (No. 14)
One atom of each set of equivalent atoms:
Cs (0.000, 0.000, 0.000)
Cs (0.286, 0.083, 0.755)
Sb (0.500, 0.000, 0.500)
I (0.166, 0.036, 0.282)
I (0.280, 0.669, 0.058)
I (0.404, 0.229, 0.063)

5.
Computed powder XRD pattern of RbPu2AgBr8 for Cu Kα, from DFT lattice parameters and positions (PBE).
Peak positions follow from Bragg's law for the DFT cell and can differ from measured ones.

Top 6 peaks for 2θ = 5–70°, low angle first:
Position (°2θ)  I_rel  index
16.52  100  1 0 -1
18.68  58  1 0 1
23.55  73  1 2 0
25.96  58  1 2 -1
33.54  90  2 2 -1
35.84  46  2 2 1

Atomic structure:
Unit cell a=7.122 b=8.931 c=7.213 alpha=90.00 beta=96.99 gamma=90.00
Space group P2/m (No. 10)
One atom of each set of equivalent atoms:
Rb (0.000, 0.000, 0.000)
Pu (0.500, 0.258, 0.500)
Ag (0.000, 0.500, 0.000)
Br (0.263, 0.284, 0.156)
Br (0.277, 0.500, 0.630)
Br (0.284, 0.000, 0.617)

6.
Computed powder XRD pattern of Dy2ErZn2 for Cu Kα, from DFT lattice parameters and positions (PBE).
Peak positions follow from Bragg's law for the DFT cell and can differ from measured ones.

Top 6 peaks for 2θ = 5–70°, low angle first:
Position (°2θ)  I_rel  index
26.79  19  0 1 3
34.08  19  0 0 5
34.95  100  1 1 2
35.09  27  0 2 0
49.73  13  0 2 5
62.87  18  1 3 2

Atomic structure:
Unit cell a=3.595 b=5.114 c=13.276 alpha=90.00 beta=97.81 gamma=90.00
Space group P2_1/m (No. 11)
One atom of each set of equivalent atoms:
Dy (0.046, 0.250, 0.092)
Dy (0.232, 0.250, 0.465)
Er (0.144, 0.750, 0.288)
Zn (0.360, 0.750, 0.721)
Zn (0.450, 0.250, 0.900)

7.
Computed powder XRD pattern of LaNd2Hg3 for Cu Kα, from DFT lattice parameters and positions (PBE).
Peak positions follow from Bragg's law for the DFT cell and can differ from measured ones.

Top 6 peaks for 2θ = 5–70°, low angle first:
Position (°2θ)  I_rel  index
32.78  100  1 1 0
46.89  6  0 0 6
47.11  12  2 0 0
58.42  13  1 1 6
58.56  26  2 1 3
68.66  8  2 0 6

Atomic structure:
Unit cell a=3.858 b=3.858 c=11.625 alpha=90.00 beta=90.00 gamma=90.00
Space group P4/mmm (No. 123)
One atom of each set of equivalent atoms:
La (0.000, 0.000, 0.000)
Nd (0.000, 0.000, 0.336)
Hg (0.500, 0.500, 0.173)
Hg (0.500, 0.500, 0.500)